No. 1
The following is a computed PXRD pattern of PaCrTe3. It was derived from a cell relaxed with PBE, using Cu Kα.
Intensities are scaled so that the largest is 100.

Top 10 peaks for 2θ from 5° to 70°, in order of rising 2θ:
d = 8.975 Å, 9.9°, intensity 100
d = 3.187 Å, 28.0°, intensity 53
d = 3.056 Å, 29.2°, intensity 43
d = 2.953 Å, 30.3°, intensity 89
d = 2.940 Å, 30.4°, intensity 50
d = 2.535 Å, 35.4°, intensity 77
d = 2.485 Å, 36.1°, intensity 66
d = 2.438 Å, 36.9°, intensity 44
d = 2.243 Å, 40.2°, intensity 76
d = 2.055 Å, 44.1°, intensity 52

Structural model:
```
10
Lattice="7.598 -2.055 0.000 7.598 2.055 0.000 -0.773 0.000 8.975" Properties=species:S:1:pos:R:3 pbc="T T T"
Pa 1.534 0.000 0.818
Pa 12.889 0.000 8.157
Cr 4.382 0.000 3.287
Cr 10.041 0.000 5.688
Te 1.698 0.000 4.026
Te 3.028 0.000 7.497
Te 6.817 0.000 1.580
Te 7.606 0.000 7.395
Te 11.395 0.000 1.478
Te 12.725 0.000 4.949
```

No. 2
The following is a computed PXRD pattern of UPaCr. It was derived from a cell relaxed with PBE, using Cu Kα.
Intensities are scaled so that the largest is 100.

Top 10 peaks for 2θ from 5° to 70°, in order of rising 2θ:
d = 10.724 Å, 8.2°, intensity 12
d = 5.362 Å, 16.5°, intensity 14
d = 3.029 Å, 29.5°, intensity 7
d = 2.637 Å, 34.0°, intensity 100
d = 2.364 Å, 38.1°, intensity 50
d = 2.145 Å, 42.1°, intensity 11
d = 1.941 Å, 46.8°, intensity 12
d = 1.672 Å, 54.9°, intensity 18
d = 1.588 Å, 58.1°, intensity 19
d = 1.412 Å, 66.2°, intensity 31

Structural model:
```
12
Lattice="3.343 0.000 0.000 0.000 3.343 0.000 0.000 0.000 21.447" Properties=species:S:1:pos:R:3 pbc="T T T"
U 0.000 0.000 2.155
U 0.000 0.000 19.292
U 1.672 1.672 8.568
U 1.672 1.672 12.879
Pa 0.000 0.000 6.551
Pa 0.000 0.000 14.896
Pa 1.672 1.672 4.172
Pa 1.672 1.672 17.275
Cr 0.000 0.000 9.480
Cr 0.000 0.000 11.968
Cr 1.672 1.672 1.244
Cr 1.672 1.672 20.203
```

No. 3
The following is a computed PXRD pattern of PaZn11Cr. It was derived from a cell relaxed with PBE, using Cu Kα.
Intensities are scaled so that the largest is 100.

Top 10 peaks for 2θ from 5° to 70°, in order of rising 2θ:
d = 3.167 Å, 28.2°, intensity 41
d = 2.604 Å, 34.4°, intensity 26
d = 2.583 Å, 34.7°, intensity 40
d = 2.573 Å, 34.9°, intensity 32
d = 2.252 Å, 40.0°, intensity 42
d = 2.243 Å, 40.2°, intensity 49
d = 2.237 Å, 40.3°, intensity 68
d = 2.227 Å, 40.5°, intensity 100
d = 2.220 Å, 40.6°, intensity 38
d = 1.422 Å, 65.7°, intensity 24

Structural model:
```
13
Lattice="2.604 -6.316 0.000 2.604 6.316 0.000 -2.566 0.000 6.271" Properties=species:S:1:pos:R:3 pbc="T T T"
Pa 0.000 0.000 0.000
Zn 1.302 3.158 0.000
Zn 0.100 4.113 4.047
Zn 0.023 1.370 4.917
Zn 2.543 4.113 2.224
Zn 0.023 -1.370 4.917
Zn 1.302 -3.158 0.000
Zn 1.321 0.000 3.136
Zn 2.619 1.370 1.354
Zn 0.100 -4.113 4.047
Zn 2.619 -1.370 1.354
Zn 2.543 -4.113 2.224
Cr -1.283 0.000 3.136
```

No. 4
The following is a computed PXRD pattern of Cr7Pb6. It was derived from a cell relaxed with PBE, using Cu Kα.
Intensities are scaled so that the largest is 100.

Top 10 peaks for 2θ from 5° to 70°, in order of rising 2θ:
d = 2.960 Å, 30.2°, intensity 42
d = 2.896 Å, 30.9°, intensity 100
d = 2.532 Å, 35.5°, intensity 25
d = 2.492 Å, 36.0°, intensity 50
d = 2.444 Å, 36.8°, intensity 19
d = 2.070 Å, 43.7°, intensity 26
d = 1.868 Å, 48.8°, intensity 20
d = 1.672 Å, 54.9°, intensity 21
d = 1.448 Å, 64.3°, intensity 23
d = 1.420 Å, 65.8°, intensity 31

Structural model:
```
13
Lattice="2.896 1.672 9.776 -2.896 1.672 9.776 0.000 -3.344 9.776" Properties=species:S:1:pos:R:3 pbc="T T T"
Cr 0.000 0.000 0.000
Cr 0.000 -1.708 7.329
Cr -1.479 0.854 7.329
Cr -1.479 -0.854 22.000
Cr 1.479 0.854 7.329
Cr 1.479 -0.854 22.000
Cr 0.000 1.708 22.000
Pb 0.000 0.000 4.926
Pb 0.000 0.000 9.774
Pb 0.000 0.000 12.909
Pb 0.000 0.000 16.420
Pb 0.000 0.000 19.555
Pb 0.000 0.000 24.403
```

No. 5
The following is a computed PXRD pattern of CrPd12Pb3. It was derived from a cell relaxed with PBE, using Cu Kα.
Intensities are scaled so that the largest is 100.

Top 10 peaks for 2θ from 5° to 70°, in order of rising 2θ:
d = 16.147 Å, 5.5°, intensity 4
d = 4.072 Å, 21.8°, intensity 3
d = 2.867 Å, 31.2°, intensity 2
d = 2.539 Å, 35.4°, intensity 3
d = 2.344 Å, 38.4°, intensity 100
d = 2.036 Å, 44.5°, intensity 34
d = 2.018 Å, 44.9°, intensity 15
d = 1.526 Å, 60.7°, intensity 2
d = 1.440 Å, 64.7°, intensity 11
d = 1.433 Å, 65.1°, intensity 19

Structural model:
```
16
Lattice="4.072 0.000 0.000 0.000 4.072 0.000 0.000 0.000 16.147" Properties=species:S:1:pos:R:3 pbc="T T T"
Cr 0.000 0.000 0.000
Pd 0.000 2.036 1.855
Pd 0.000 2.036 5.999
Pd 0.000 2.036 10.148
Pd 0.000 2.036 14.291
Pd 2.036 0.000 1.855
Pd 2.036 0.000 5.999
Pd 2.036 0.000 10.148
Pd 2.036 0.000 14.291
Pd 2.036 2.036 0.000
Pd 2.036 2.036 3.938
Pd 2.036 2.036 8.073
Pd 2.036 2.036 12.209
Pb 0.000 0.000 3.925
Pb 0.000 0.000 8.073
Pb 0.000 0.000 12.221
```

No. 6
The following is a computed PXRD pattern of CrPd14Pb. It was derived from a cell relaxed with PBE, using Cu Kα.
Intensities are scaled so that the largest is 100.

Top 10 peaks for 2θ from 5° to 70°, in order of rising 2θ:
d = 5.670 Å, 15.6°, intensity 2
d = 4.594 Å, 19.3°, intensity 4
d = 3.224 Å, 27.7°, intensity 2
d = 2.535 Å, 35.4°, intensity 1
d = 2.412 Å, 37.3°, intensity 2
d = 2.297 Å, 39.2°, intensity 100
d = 2.004 Å, 45.2°, intensity 33
d = 1.960 Å, 46.3°, intensity 15
d = 1.417 Å, 65.9°, intensity 10
d = 1.401 Å, 66.7°, intensity 20

Structural model:
```
16
Lattice="5.670 0.000 0.000 0.000 5.670 0.000 0.000 0.000 7.840" Properties=species:S:1:pos:R:3 pbc="T T T"
Cr 0.000 0.000 0.000
Pd 0.000 0.000 3.920
Pd 0.000 2.835 0.000
Pd 0.000 2.835 3.920
Pd 1.390 1.390 1.963
Pd 1.390 1.390 5.877
Pd 1.390 4.280 1.963
Pd 1.390 4.280 5.877
Pd 2.835 0.000 0.000
Pd 2.835 0.000 3.920
Pd 2.835 2.835 3.920
Pd 4.280 1.390 1.963
Pd 4.280 1.390 5.877
Pd 4.280 4.280 1.963
Pd 4.280 4.280 5.877
Pb 2.835 2.835 0.000
```

No. 7
The following is a computed PXRD pattern of CrPd2RuPb. It was derived from a cell relaxed with PBE, using Cu Kα.
Intensities are scaled so that the largest is 100.

Top 10 peaks for 2θ from 5° to 70°, in order of rising 2θ:
d = 4.926 Å, 18.0°, intensity 89
d = 3.486 Å, 25.6°, intensity 100
d = 2.847 Å, 31.4°, intensity 24
d = 2.470 Å, 36.4°, intensity 91
d = 2.458 Å, 36.6°, intensity 45
d = 2.207 Å, 40.9°, intensity 37
d = 2.015 Å, 45.0°, intensity 39
d = 1.746 Å, 52.4°, intensity 31
d = 1.742 Å, 52.5°, intensity 62
d = 1.424 Å, 65.6°, intensity 32

Structural model:
```
5
Lattice="4.939 0.000 0.000 0.000 4.939 0.000 0.000 0.000 4.916" Properties=species:S:1:pos:R:3 pbc="T T T"
Cr 0.000 0.000 0.000
Pd 0.000 2.470 2.458
Pd 2.470 0.000 2.458
Ru 2.470 2.470 0.000
Pb 0.000 0.000 2.458
```

No. 8
The following is a computed PXRD pattern of CrSi2Pt7Pb2. It was derived from a cell relaxed with PBE, using Cu Kα.
Intensities are scaled so that the largest is 100.

Top 10 peaks for 2θ from 5° to 70°, in order of rising 2θ:
d = 15.121 Å, 5.8°, intensity 27
d = 7.561 Å, 11.7°, intensity 40
d = 3.780 Å, 23.5°, intensity 72
d = 2.719 Å, 32.9°, intensity 97
d = 2.596 Å, 34.6°, intensity 29
d = 2.423 Å, 37.1°, intensity 100
d = 2.040 Å, 44.4°, intensity 93
d = 1.954 Å, 46.5°, intensity 81
d = 1.736 Å, 52.7°, intensity 34
d = 1.382 Å, 67.8°, intensity 27

Structural model:
```
12
Lattice="-1.954 1.954 15.121 1.954 -1.954 15.121 1.954 1.954 -15.121" Properties=species:S:1:pos:R:3 pbc="T T T"
Cr 0.000 0.000 0.000
Si 0.000 0.000 11.670
Si 0.000 0.000 18.572
Pt 1.954 0.000 2.021
Pt 0.000 0.000 9.355
Pt 1.954 0.000 13.100
Pt 0.000 0.000 15.121
Pt 0.000 1.954 2.021
Pt 0.000 0.000 20.887
Pt 0.000 1.954 13.100
Pb 0.000 0.000 6.333
Pb 0.000 0.000 23.909
```

No. 9
The following is a computed PXRD pattern of RbCrPb3. It was derived from a cell relaxed with PBE, using Cu Kα.
Intensities are scaled so that the largest is 100.

Top 10 peaks for 2θ from 5° to 70°, in order of rising 2θ:
d = 5.344 Å, 16.6°, intensity 20
d = 3.779 Å, 23.5°, intensity 2
d = 3.085 Å, 28.9°, intensity 100
d = 2.672 Å, 33.5°, intensity 70
d = 2.390 Å, 37.6°, intensity 11
d = 1.889 Å, 48.2°, intensity 51
d = 1.781 Å, 51.3°, intensity 6
d = 1.611 Å, 57.2°, intensity 47
d = 1.543 Å, 60.0°, intensity 18
d = 1.482 Å, 62.7°, intensity 2

Structural model:
```
5
Lattice="5.344 0.000 0.000 0.000 5.344 0.000 0.000 0.000 5.344" Properties=species:S:1:pos:R:3 pbc="T T T"
Rb 0.000 0.000 0.000
Cr 2.672 2.672 2.672
Pb 0.000 2.672 2.672
Pb 2.672 0.000 2.672
Pb 2.672 2.672 0.000
```

No. 10
The following is a computed PXRD pattern of Rb2CrPbS4. It was derived from a cell relaxed with PBE, using Cu Kα.
Intensities are scaled so that the largest is 100.

Top 10 peaks for 2θ from 5° to 70°, in order of rising 2θ:
d = 6.124 Å, 14.5°, intensity 85
d = 5.918 Å, 15.0°, intensity 100
d = 3.815 Å, 23.3°, intensity 35
d = 3.720 Å, 23.9°, intensity 45
d = 3.497 Å, 25.5°, intensity 77
d = 3.040 Å, 29.4°, intensity 72
d = 2.984 Å, 29.9°, intensity 65
d = 2.724 Å, 32.9°, intensity 31
d = 2.614 Å, 34.3°, intensity 45
d = 2.070 Å, 43.7°, intensity 35

Structural model:
```
16
Lattice="0.000 6.775 12.248 3.403 0.000 12.248 3.403 6.775 0.000" Properties=species:S:1:pos:R:3 pbc="T T T"
Rb 2.552 5.081 1.465
Rb 4.254 8.469 7.589
Rb 2.552 5.081 16.906
Rb 4.254 8.469 23.030
Cr 2.552 5.081 9.186
Cr 4.254 8.469 15.310
Pb 0.851 1.694 3.062
Pb 5.955 11.857 21.433
S 3.841 3.783 7.957
S 3.841 6.380 10.414
S 5.543 7.171 16.538
S 5.543 9.767 14.081
S 1.263 3.783 10.414
S 1.263 6.380 7.957
S 2.965 7.171 14.081
S 2.965 9.767 16.538
```

No. 11
The following is a computed PXRD pattern of CrRePb. It was derived from a cell relaxed with PBE, using Cu Kα.
Intensities are scaled so that the largest is 100.

Top 10 peaks for 2θ from 5° to 70°, in order of rising 2θ:
d = 2.939 Å, 30.4°, intensity 32
d = 2.925 Å, 30.6°, intensity 21
d = 2.396 Å, 37.5°, intensity 100
d = 2.147 Å, 42.1°, intensity 42
d = 1.950 Å, 46.6°, intensity 9
d = 1.731 Å, 52.9°, intensity 19
d = 1.518 Å, 61.0°, intensity 14
d = 1.464 Å, 63.5°, intensity 19
d = 1.444 Å, 64.6°, intensity 13
d = 1.348 Å, 69.8°, intensity 15

Structural model:
```
6
Lattice="3.036 0.000 0.000 0.000 3.036 0.000 0.000 0.000 11.702" Properties=species:S:1:pos:R:3 pbc="T T T"
Cr 0.000 0.000 0.000
Cr 1.518 1.518 5.851
Re 0.000 0.000 4.586
Re 1.518 1.518 10.437
Pb 0.000 0.000 8.120
Pb 1.518 1.518 2.269
```

No. 12
The following is a computed PXRD pattern of CrRhPb2. It was derived from a cell relaxed with PBE, using Cu Kα.
Intensities are scaled so that the largest is 100.

Top 10 peaks for 2θ from 5° to 70°, in order of rising 2θ:
d = 4.097 Å, 21.7°, intensity 18
d = 3.046 Å, 29.3°, intensity 89
d = 2.731 Å, 32.8°, intensity 30
d = 2.561 Å, 35.0°, intensity 100
d = 2.320 Å, 38.8°, intensity 72
d = 2.099 Å, 43.1°, intensity 33
d = 1.768 Å, 51.7°, intensity 34
d = 1.640 Å, 56.1°, intensity 34
d = 1.444 Å, 64.5°, intensity 21
d = 1.382 Å, 67.8°, intensity 29

Structural model:
```
4
Lattice="3.281 0.000 0.000 0.000 3.281 0.000 0.000 0.000 8.194" Properties=species:S:1:pos:R:3 pbc="T T T"
Cr 0.000 0.000 0.000
Rh 1.641 1.641 7.020
Pb 0.000 0.000 5.060
Pb 1.641 1.641 1.976
```